Diffraction record for KGdMo2O8. The X-ray powder pattern is calculated, not measured: it uses a crystal structure in Alexandria, relaxed with PBE+U and copper Kα.

Peak list (10 most intense, 2θ = 5–70°, in order of rising 2θ)
hkl, 2θ/deg, Rel. int.
0 2 0, 9.39, 100.0
1 3 0, 22.25, 36.3
1 1 2, 28.21, 81.0
0 4 2, 28.93, 32.1
1 5 0, 29.32, 44.5
0 0 4, 44.34, 11.9
2 4 2, 45.73, 30.0
2 6 2, 50.87, 13.8
1 9 2, 52.18, 15.8
1 5 4, 54.03, 14.6

Crystal structure
Unit cell a=5.1797 b=18.8347 c=8.1749 alpha=90.00 beta=90.00 gamma=90.00
Space group Pbcn (No. 60)
Symmetry-distinct sites (fractional):
K (0.0000, 0.2259, 0.2500) x4
Gd (0.0000, 0.0044, 0.7500) x4
Mo (0.0216, 0.3988, 0.5108) x8
O (0.1021, 0.3121, 0.9839) x8
O (0.2303, 0.4026, 0.3354) x8
O (0.2402, 0.4070, 0.6839) x8
O (0.2502, 0.0362, 0.5029) x8